Ca3AcMg: theoretical X-ray powder pattern (λ = 1.5418 Å (Cu Kα)), based on a crystal structure in Alexandria, relaxed with GGA-PBE.
Kinematic intensities with the Lorentz-polarization factor, no thermal factor.

The 10 most intense peaks (10 to 90 degrees two-theta), in order of rising 2θ:
- (0 1 -1), 2θ = 10.96°, I 39
- (0 0 2), 2θ = 17.85°, I 44
- (1 -1 1), 2θ = 24.84°, I 47
- (0 1 -3), 2θ = 26.09°, I 28
- (0 3 -2), 2θ = 28.73°, I 49
- (0 2 2), 2θ = 28.87°, I 50
- (1 0 -2), 2θ = 29.01°, I 100
- (1 2 0), 2θ = 32.69°, I 38
- (1 -3 0), 2θ = 32.86°, I 37
- (0 1 -4), 2θ = 34.91°, I 26

Cell and atoms:
```
Ca3AcMg
1.0
3.843 0.000 0.000
-1.873 10.061 0.000
-0.001 -2.675 9.927
Ca Ac Mg
6 2 2
Direct
0.002 0.003 0.205 Ca
0.191 0.382 0.866 Ca
0.200 0.402 0.329 Ca
0.800 0.598 0.671 Ca
0.809 0.618 0.134 Ca
0.998 0.997 0.795 Ca
0.403 0.808 0.456 Ac
0.597 0.192 0.544 Ac
0.394 0.784 0.942 Mg
0.606 0.216 0.058 Mg
```